This entry pairs a crystal structure of Na4NiP6O24 with its theoretical PXRD pattern. Radiation: Cu Kα (weighted mean of Kα1 and Kα2). Structure: a DFT-relaxed cell (PBE+U, the Materials Project).

Structural model:
Cell: 6.8972 7.9747 9.0978 Å, 78.33 72.76 84.52°
Positions (direct):
Na1 0.1352 0.2908 0.0827
Na2 0.2844 0.5113 0.6783
Na3 0.7156 0.4887 0.3217
Na4 0.8648 0.7092 0.9173
Ni1 0.5000 0.0000 0.5000
P1 0.0150 0.8646 0.2191
P2 0.2254 0.5495 0.3032
P3 0.3355 0.7201 0.9787
P4 0.6645 0.2799 0.0213
P5 0.7746 0.4505 0.6968
P6 0.9850 0.1354 0.7809
O1 0.0047 0.9580 0.7436
O2 0.0696 0.4428 0.2868
O3 0.1212 0.7366 0.3369
O4 0.1708 0.2159 0.7921
O5 0.1875 0.8740 0.0520
O6 0.2138 0.6149 0.9208
O7 0.2958 0.1501 0.4801
O8 0.2990 0.8545 0.5748
O9 0.3490 0.4879 0.4155
O10 0.3915 0.6095 0.1327
O11 0.4689 0.2026 0.1264
O12 0.4789 0.0660 0.7152
O13 0.5211 0.9340 0.2848
O14 0.5311 0.7974 0.8736
O15 0.6085 0.3905 0.8673
O16 0.6510 0.5121 0.5845
O17 0.7010 0.1455 0.4252
O18 0.7042 0.8499 0.5199
O19 0.7862 0.3851 0.0792
O20 0.8125 0.1260 0.9480
O21 0.8292 0.7841 0.2079
O22 0.8788 0.2633 0.6631
O23 0.9304 0.5572 0.7132
O24 0.9953 0.0420 0.2564

Most intense lines, 10° ≤ 2θ ≤ 90°, low angle first:
| hkl | two_theta | I_rel |
| --- | --- | --- |
| 0 1 -1 | 16.73 | 20.4 |
| 1 1 1 | 16.85 | 100.0 |
| 1 0 2 | 21.34 | 32.5 |
| 0 2 -1 | 26.80 | 38.2 |
| 1 0 -2 | 27.95 | 22.2 |
| -1 2 1 | 28.87 | 21.1 |
| 2 -1 0 | 29.86 | 33.1 |
| 0 1 3 | 31.41 | 46.4 |